The following is a calculated X-ray powder pattern of TbNdTm5. It was derived from a PBE-relaxed structure, using Cu Kα (λ = 1.5418 Å).

Most intense lines, 2θ = 10–90°, in order of rising 2θ:
- hkl 0 2 2, 30.70 deg, d 2.912, rel. 888
- hkl 3 1 -3, 30.98 deg, d 2.886, rel. 893
- hkl 3 1 1, 31.17 deg, d 2.870, rel. 751
- hkl 4 0 -2, 31.47 deg, d 2.843, rel. 226
- hkl 0 0 4, 31.60 deg, d 2.832, rel. 1000
- hkl 4 0 0, 32.92 deg, d 2.721, rel. 236
- hkl 2 2 1, 33.41 deg, d 2.682, rel. 488
- hkl 2 2 -3, 35.78 deg, d 2.509, rel. 418
- hkl 3 3 -1, 46.59 deg, d 1.949, rel. 208
- hkl 3 1 -7, 55.78 deg, d 1.648, rel. 270

Structural model:
abc: 11.520 6.787 11.989
angles: 90.00 109.14 90.00
Space group C2/c (No. 15)
Unique sites:
Tb 0.250 0.250 0.000 [4 per cell]
Nd 0.000 0.025 0.250 [4 per cell]
Tm 0.000 0.410 0.750 [4 per cell]
Tm 0.079 0.280 0.498 [8 per cell]
Tm 0.221 0.359 0.252 [8 per cell]